Diffraction record for TlP2PbBrO. The X-ray diffraction stick pattern is simulated, not measured: it uses a GGA-PBE-relaxed structure and Cu Ka.

The 6 most intense peaks (2θ = 5–70°), by intensity:
2θ = 31.35°, d = 2.853 Å, I 100, hkl 1 0 2; 2θ = 27.58°, d = 3.234 Å, I 67, hkl 0 2 0; 2θ = 18.69°, d = 4.747 Å, I 52, hkl 0 1 1; 2θ = 24.52°, d = 3.631 Å, I 44, hkl 1 0 0; 2θ = 27.33°, d = 3.263 Å, I 40, hkl 0 0 2; 2θ = 41.57°, d = 2.173 Å, I 38, hkl -1 2 1

```
6
Lattice="3.780 0.000 0.000 0.120 6.480 0.000 1.883 0.415 6.527" Properties=species:S:1:pos:R:3 pbc="T T T"
Tl 0.000 0.000 0.000
P 2.000 6.534 2.522
P 3.770 0.537 3.845
Pb 1.885 3.135 2.619
Br 3.766 3.232 0.241
O 3.767 2.141 3.889
```